1.
The following is a computed X-ray powder pattern of NdGd2Cd3Pd2Au. It was derived from DFT lattice parameters and positions (PBE), using copper Kα.
Kinematic intensities with the Lorentz-polarization factor, no thermal factor.

Structural model:
Lattice parameters (Å, degrees): 3.979 7.744 7.744 120.08 90.00 90.00
Positions (direct):
Nd 0.000 0.000 0.000
Gd 0.000 0.184 0.591
Gd 0.000 0.591 0.184
Cd 0.500 0.331 0.331
Cd 0.500 0.591 0.854
Cd 0.500 0.854 0.591
Pd 0.500 0.262 0.925
Pd 0.500 0.925 0.262
Au 0.000 0.589 0.589

The 10 most intense peaks (2θ from 10° to 90°), by angle:
d [Å]  two_theta  I/Imax
3.352  26.59  13
2.774  32.27  81
2.564  35.00  100
2.534  35.42  35
2.235  40.36  43
2.137  42.29  33
1.990  45.60  24
1.565  59.03  16
1.486  62.50  24
1.435  65.01  35



2.
The following is a computed X-ray powder pattern of ZnPd15. It was derived from DFT lattice parameters and positions (PBE), using copper Kα.
Kinematic intensities with the Lorentz-polarization factor, no thermal factor.

Structural model:
Lattice parameters (Å, degrees): 4.809 36.301 4.809 90.00 109.71 90.00
Positions (direct):
Zn 0.000 0.215 0.250
Zn 0.000 0.785 0.750
Pd 0.000 0.246 0.750
Pd 0.000 0.287 0.250
Pd 0.000 0.326 0.750
Pd 0.000 0.365 0.250
Pd 0.000 0.403 0.750
Pd 0.000 0.442 0.250
Pd 0.000 0.481 0.750
Pd 0.000 0.519 0.250
Pd 0.000 0.558 0.750
Pd 0.000 0.597 0.250
Pd 0.000 0.635 0.750
Pd 0.000 0.674 0.250
Pd 0.000 0.713 0.750
Pd 0.000 0.754 0.250
Pd 0.500 0.211 0.750
Pd 0.500 0.246 0.250
Pd 0.500 0.286 0.750
Pd 0.500 0.326 0.250
Pd 0.500 0.364 0.750
Pd 0.500 0.403 0.250
Pd 0.500 0.442 0.750
Pd 0.500 0.481 0.250
Pd 0.500 0.519 0.750
Pd 0.500 0.558 0.250
Pd 0.500 0.597 0.750
Pd 0.500 0.636 0.250
Pd 0.500 0.674 0.750
Pd 0.500 0.714 0.250
Pd 0.500 0.754 0.750
Pd 0.500 0.789 0.250

The 10 most intense peaks (2θ from 10° to 90°), by angle:
d [Å]  two_theta  I/Imax
2.398  37.51  34
2.277  39.58  89
2.263  39.83  89
2.259  39.91  43
2.042  44.36  21
1.966  46.19  100
1.390  67.36  36
1.188  80.89  20
1.184  81.22  16
1.183  81.36  21



3.
The following is a computed X-ray powder pattern of Zn2Si7O16. It was derived from DFT lattice parameters and positions (PBE), using copper Kα.
Kinematic intensities with the Lorentz-polarization factor, no thermal factor.

Structural model:
Lattice parameters (Å, degrees): 10.631 10.631 4.374 90.00 90.00 90.00
Positions (direct):
Zn 0.161 0.339 0.000
Zn 0.339 0.839 0.000
Zn 0.661 0.161 0.000
Zn 0.839 0.661 0.000
Si 0.000 0.500 0.500
Si 0.074 0.819 0.509
Si 0.139 0.639 0.000
Si 0.181 0.074 0.491
Si 0.319 0.574 0.491
Si 0.361 0.139 0.000
Si 0.426 0.319 0.509
Si 0.500 0.000 0.500
Si 0.574 0.681 0.509
Si 0.639 0.861 0.000
Si 0.681 0.426 0.491
Si 0.819 0.926 0.491
Si 0.861 0.361 0.000
Si 0.926 0.181 0.509
O 0.000 0.383 0.752
O 0.000 0.617 0.752
O 0.038 0.723 0.232
O 0.059 0.137 0.664
O 0.117 0.500 0.248
O 0.137 0.941 0.336
O 0.177 0.775 0.773
O 0.223 0.538 0.768
O 0.225 0.177 0.227
O 0.275 0.677 0.227
O 0.277 0.038 0.768
O 0.323 0.275 0.773
O 0.363 0.441 0.336
O 0.383 0.000 0.248
O 0.441 0.637 0.664
O 0.462 0.223 0.232
O 0.500 0.117 0.752
O 0.500 0.883 0.752
O 0.538 0.777 0.232
O 0.559 0.363 0.664
O 0.617 0.000 0.248
O 0.637 0.559 0.336
O 0.677 0.725 0.773
O 0.723 0.962 0.768
O 0.725 0.323 0.227
O 0.775 0.823 0.227
O 0.777 0.462 0.768
O 0.823 0.225 0.773
O 0.863 0.059 0.336
O 0.883 0.500 0.248
O 0.941 0.863 0.664
O 0.962 0.277 0.232

The 10 most intense peaks (2θ from 10° to 90°), by angle:
d [Å]  two_theta  I/Imax
7.517  11.77  39
3.781  23.53  38
3.378  26.39  36
3.219  27.71  29
2.666  33.62  100
2.578  34.79  22
2.271  39.68  17
2.088  43.32  19
1.648  55.79  27
1.396  67.02  18



4.
The following is a computed X-ray powder pattern of Rb2Sm4Cu4Te9. It was derived from DFT lattice parameters and positions (PBE), using copper Kα.
Kinematic intensities with the Lorentz-polarization factor, no thermal factor.

Structural model:
Lattice parameters (Å, degrees): 8.080 8.080 17.903 107.96 107.96 31.83
Positions (direct):
Rb 0.031 0.031 0.271
Rb 0.969 0.969 0.729
Sm 0.229 0.229 0.099
Sm 0.344 0.344 0.444
Sm 0.656 0.656 0.556
Sm 0.771 0.771 0.901
Cu 0.245 0.245 0.733
Cu 0.423 0.423 0.025
Cu 0.577 0.577 0.975
Cu 0.755 0.755 0.267
Te 0.000 0.000 0.500
Te 0.131 0.131 0.920
Te 0.303 0.303 0.606
Te 0.349 0.349 0.274
Te 0.398 0.398 0.872
Te 0.602 0.602 0.128
Te 0.651 0.651 0.726
Te 0.697 0.697 0.394
Te 0.869 0.869 0.080

The 10 most intense peaks (2θ from 10° to 90°), by angle:
d [Å]  two_theta  I/Imax
7.360  12.02  57
3.542  25.14  47
3.368  26.47  86
3.316  26.89  100
3.289  27.12  62
3.152  28.32  52
3.106  28.74  71
2.866  31.21  41
2.325  38.73  44
2.216  40.73  86



5.
The following is a computed X-ray powder pattern of KAg2SbS3. It was derived from DFT lattice parameters and positions (PBE), using copper Kα.
Kinematic intensities with the Lorentz-polarization factor, no thermal factor.

Structural model:
Lattice parameters (Å, degrees): 6.848 9.515 11.045 91.03 92.70 90.36
Positions (direct):
K 0.202 0.421 0.127
K 0.295 0.571 0.632
K 0.705 0.429 0.368
K 0.798 0.579 0.873
Ag 0.010 0.108 0.339
Ag 0.095 0.833 0.048
Ag 0.411 0.160 0.546
Ag 0.484 0.269 0.859
Ag 0.516 0.731 0.141
Ag 0.589 0.840 0.454
Ag 0.905 0.167 0.952
Ag 0.990 0.892 0.661
Sb 0.048 0.794 0.342
Sb 0.471 0.946 0.853
Sb 0.529 0.054 0.147
Sb 0.952 0.206 0.658
S 0.113 0.308 0.483
S 0.121 0.334 0.832
S 0.167 0.083 0.138
S 0.357 0.659 0.336
S 0.363 0.712 0.924
S 0.365 0.914 0.637
S 0.635 0.086 0.363
S 0.637 0.288 0.076
S 0.643 0.341 0.664
S 0.833 0.917 0.862
S 0.879 0.666 0.168
S 0.887 0.692 0.517

The 10 most intense peaks (2θ from 10° to 90°), by angle:
d [Å]  two_theta  I/Imax
3.419  26.06  76
3.306  26.97  77
3.212  27.78  71
3.176  28.09  88
3.133  28.49  100
3.063  29.16  99
2.996  29.82  66
2.787  32.12  44
2.757  32.48  49
1.989  45.62  53



6.
The following is a computed X-ray powder pattern of NbW. It was derived from DFT lattice parameters and positions (PBE), using copper Kα.
Kinematic intensities with the Lorentz-polarization factor, no thermal factor.

Structural model:
Lattice parameters (Å, degrees): 4.580 4.580 4.580 60.00 60.00 60.00
Positions (direct):
Nb 0.125 0.125 0.125
Nb 0.875 0.875 0.875
W 0.375 0.375 0.375
W 0.625 0.625 0.625

The 9 most intense peaks (2θ from 10° to 90°), by angle:
d [Å]  two_theta  I/Imax
3.740  23.79  11
2.290  39.34  100
1.953  46.50  6
1.619  56.86  17
1.486  62.50  3
1.322  71.33  35
1.247  76.41  2
1.145  84.64  11
1.095  89.52  2



7.
The following is a computed X-ray powder pattern of DyYNO. It was derived from DFT lattice parameters and positions (PBE), using copper Kα.
Kinematic intensities with the Lorentz-polarization factor, no thermal factor.

Structural model:
Lattice parameters (Å, degrees): 3.427 3.427 4.823 90.00 90.00 90.00
Positions (direct):
Dy 0.000 0.000 0.000
Y 0.500 0.500 0.500
N 0.500 0.500 0.000
O 0.000 0.000 0.500

The 10 most intense peaks (2θ from 10° to 90°), by angle:
d [Å]  two_theta  I/Imax
3.427  26.00  9
2.794  32.04  100
2.424  37.09  55
2.411  37.29  27
1.714  53.47  18
1.709  53.62  36
1.461  63.71  29
1.455  63.97  15
1.397  66.99  18
1.109  88.04  13



8.
The following is a computed X-ray powder pattern of FeSi18Ge13. It was derived from DFT lattice parameters and positions (PBE), using copper Kα.
Kinematic intensities with the Lorentz-polarization factor, no thermal factor.

Structural model:
Lattice parameters (Å, degrees): 5.571 3.932 31.343 90.00 90.04 90.00
Positions (direct):
Fe 0.000 0.000 0.000
Si 0.006 0.000 0.498
Si 0.007 0.000 0.247
Si 0.237 0.000 0.941
Si 0.243 0.000 0.184
Si 0.243 0.000 0.436
Si 0.244 0.000 0.685
Si 0.250 0.000 0.058
Si 0.495 0.500 0.061
Si 0.506 0.500 0.562
Si 0.507 0.500 0.814
Si 0.753 0.500 0.121
Si 0.755 0.500 0.623
Si 0.756 0.500 0.375
Si 0.756 0.500 0.875
Si 0.995 0.000 0.375
Si 0.995 0.000 0.624
Si 0.997 0.000 0.877
Si 0.998 0.000 0.121
Ge 0.007 0.000 0.749
Ge 0.244 0.000 0.311
Ge 0.255 0.000 0.562
Ge 0.256 0.000 0.815
Ge 0.494 0.500 0.436
Ge 0.494 0.500 0.685
Ge 0.495 0.500 0.937
Ge 0.496 0.500 0.184
Ge 0.507 0.500 0.312
Ge 0.744 0.500 0.750
Ge 0.755 0.500 0.500
Ge 0.756 0.500 0.247
Ge 0.771 0.500 0.000

The 10 most intense peaks (2θ from 10° to 90°), by angle:
d [Å]  two_theta  I/Imax
7.836  11.29  9
3.209  27.80  100
1.966  46.17  59
1.959  46.35  12
1.679  54.68  14
1.676  54.78  14
1.673  54.89  14
1.388  67.49  7
1.276  74.34  11
1.135  85.55  12